Entry 1:
Structure and simulated powder diffractogram of LiNdDy2Te4 (a GGA-PBE-relaxed structure; copper Kα).
Peak positions follow from Bragg's law for the DFT cell and can differ from measured ones.

Structure:
```
data_LiNdDy2Te4
_chemical_formula_sum 'Li1 Nd1 Dy2 Te4'
_space_group_name_H-M_alt 'P 1 2/m 1'
_space_group_IT_number 10
_cell_length_a 7.609
_cell_length_b 4.358
_cell_length_c 7.614
_cell_angle_alpha 90.00
_cell_angle_beta 109.15
_cell_angle_gamma 90.00
loop_
_space_group_symop_operation_xyz
'x,y,z'
'-x,-y,-z'
'-x,y,-z'
'x,-y,z'
loop_
_atom_site_label
_atom_site_fract_x
_atom_site_fract_y
_atom_site_fract_z
_atom_site_occupancy
Li1 0.000 0.000 0.000 1
Nd1 0.000 0.500 0.500 1
Dy1 0.500 0.000 0.500 1
Dy2 0.500 0.500 0.000 1
Te1 0.249 0.500 0.241 1
Te2 0.254 0.000 0.761 1
```

Largest 12 diffraction maxima, most intense first, 2θ = 5–70°:
- hkl 1 1 1, 28.79 deg, I = 100
- hkl 3 1 -1, 41.17 deg, I = 50
- hkl 4 2 0, 67.55 deg, I = 23
- hkl 4 0 0, 50.79 deg, I = 14
- hkl 2 2 -2, 51.24 deg, I = 13
- hkl 2 0 2, 40.91 deg, I = 13
- hkl 2 2 2, 59.64 deg, I = 13
- hkl 0 2 0, 41.44 deg, I = 12
- hkl 1 0 0, 12.31 deg, I = 11
- hkl 3 1 3, 67.18 deg, I = 6
- hkl 1 3 1, 67.94 deg, I = 6
- hkl 0 1 1, 23.88 deg, I = 6



Entry 2:
Structure and simulated powder diffractogram of Li2PS4 (a GGA-PBE-relaxed structure; copper Kα).
Peak positions follow from Bragg's law for the DFT cell and can differ from measured ones.

Structure:
```
data_Li2PS4
_chemical_formula_sum 'Li8 P4 S16'
_space_group_name_H-M_alt 'P 42/n b c'
_space_group_IT_number 133
_cell_length_a 8.549
_cell_length_b 8.549
_cell_length_c 11.338
_cell_angle_alpha 90.00
_cell_angle_beta 90.00
_cell_angle_gamma 90.00
loop_
_space_group_symop_operation_xyz
'x,y,z'
'-x,-y,-z'
'-y+1/2,x,z+1/2'
'y+1/2,-x,-z+1/2'
'-x+1/2,-y+1/2,z'
'x+1/2,y+1/2,-z'
'y,-x+1/2,z+1/2'
'-y,x+1/2,-z+1/2'
'x,-y+1/2,-z'
'-x,y+1/2,z'
'-y+1/2,-x+1/2,-z+1/2'
'y+1/2,x+1/2,z+1/2'
'-x+1/2,y,-z'
'x+1/2,-y,z'
'y,x,-z+1/2'
'-y,-x,z+1/2'
loop_
_atom_site_label
_atom_site_fract_x
_atom_site_fract_y
_atom_site_fract_z
_atom_site_occupancy
Li1 0.011 0.011 0.250 1
P1 0.250 0.750 0.250 1
S1 0.053 0.741 0.648 1
```

Largest 12 diffraction maxima, most intense first, 2θ = 5–70°:
- hkl 1 1 0, 14.65 deg, I = 100
- hkl 2 0 1, 22.23 deg, I = 64
- hkl 2 0 3, 31.60 deg, I = 63
- hkl 0 0 2, 15.63 deg, I = 48
- hkl 2 2 4, 43.79 deg, I = 28
- hkl 1 1 2, 21.49 deg, I = 26
- hkl 3 1 3, 41.05 deg, I = 22
- hkl 3 1 1, 34.10 deg, I = 16
- hkl 4 0 0, 42.29 deg, I = 14
- hkl 3 3 4, 55.99 deg, I = 12
- hkl 5 1 0, 54.75 deg, I = 11
- hkl 2 2 0, 29.56 deg, I = 11



Entry 3:
Structure and simulated powder diffractogram of Zr3TiFe (a GGA-PBE-relaxed structure; copper Kα).
Peak positions follow from Bragg's law for the DFT cell and can differ from measured ones.

Structure:
```
data_Zr3TiFe
_chemical_formula_sum 'Zr12 Ti4 Fe4'
_space_group_name_H-M_alt 'I m m a'
_space_group_IT_number 74
_space_group_name_Hall '-I 2b 2'
_cell_length_a 7.886
_cell_length_b 8.410
_cell_length_c 6.133
_cell_angle_alpha 90.00
_cell_angle_beta 90.00
_cell_angle_gamma 90.00
loop_
_atom_site_label
_atom_site_fract_x
_atom_site_fract_y
_atom_site_fract_z
_atom_site_occupancy
Zr1 0.000 0.250 0.007 1
Zr2 0.250 0.045 0.750 1
Ti1 0.000 0.250 0.486 1
Fe1 0.250 0.250 0.250 1
```

Largest 12 diffraction maxima, most intense first, 2θ = 5–70°:
- hkl 2 0 2, 37.14 deg, I = 100
- hkl 2 2 0, 31.09 deg, I = 62
- hkl 0 2 2, 36.26 deg, I = 40
- hkl 2 3 1, 42.21 deg, I = 34
- hkl 0 3 1, 35.20 deg, I = 33
- hkl 2 4 2, 58.11 deg, I = 27
- hkl 4 0 0, 46.04 deg, I = 26
- hkl 4 2 2, 59.96 deg, I = 18
- hkl 0 4 0, 43.02 deg, I = 17
- hkl 2 3 3, 60.80 deg, I = 15
- hkl 4 3 1, 59.25 deg, I = 14
- hkl 2 0 0, 22.55 deg, I = 14



Entry 4:
Structure and simulated powder diffractogram of Na2CeSb2Se6 (a GGA-PBE-relaxed structure; copper Kα).
Peak positions follow from Bragg's law for the DFT cell and can differ from measured ones.

Structure:
```
data_Na2CeSb2Se6
_chemical_formula_sum 'Na4 Ce2 Sb4 Se12'
_space_group_name_H-M_alt 'C 1 2/m 1'
_space_group_IT_number 12
_cell_length_a 7.236
_cell_length_b 12.541
_cell_length_c 7.507
_cell_angle_alpha 90.00
_cell_angle_beta 109.90
_cell_angle_gamma 90.00
loop_
_space_group_symop_operation_xyz
'x,y,z'
'-x,-y,-z'
'-x,y,-z'
'x,-y,z'
'x+1/2,y+1/2,z'
'-x+1/2,-y+1/2,-z'
'-x+1/2,y+1/2,-z'
'x+1/2,-y+1/2,z'
loop_
_atom_site_label
_atom_site_fract_x
_atom_site_fract_y
_atom_site_fract_z
_atom_site_occupancy
Na1 0.000 0.168 0.000 1
Ce1 0.000 0.000 0.500 1
Sb1 0.000 0.330 0.500 1
Se1 0.244 0.169 0.725 1
Se2 0.247 0.000 0.274 1
```

Largest 12 diffraction maxima, most intense first, 2θ = 5–70°:
- hkl 1 3 1, 30.05 deg, I = 100
- hkl 0 0 1, 12.54 deg, I = 80
- hkl 0 6 0, 43.31 deg, I = 55
- hkl 2 0 -2, 29.63 deg, I = 51
- hkl 1 3 -3, 42.08 deg, I = 36
- hkl 1 3 0, 25.00 deg, I = 20
- hkl 2 6 -2, 53.33 deg, I = 19
- hkl 2 0 2, 42.74 deg, I = 18
- hkl 1 3 2, 39.00 deg, I = 14
- hkl 2 6 2, 62.46 deg, I = 11
- hkl 4 0 0, 53.90 deg, I = 9
- hkl 2 0 -3, 38.40 deg, I = 9



Entry 5:
Structure and simulated powder diffractogram of KNp2HgO7 (a GGA-PBE-relaxed structure; copper Kα).
Peak positions follow from Bragg's law for the DFT cell and can differ from measured ones.

Structure:
```
data_KNp2HgO7
_chemical_formula_sum 'K1 Np2 Hg1 O7'
_space_group_name_H-M_alt 'P 4/m m m'
_space_group_IT_number 123
_space_group_name_Hall '-P 4 2'
_cell_length_a 4.233
_cell_length_b 4.233
_cell_length_c 12.039
_cell_angle_alpha 90.00
_cell_angle_beta 90.00
_cell_angle_gamma 90.00
loop_
_atom_site_label
_atom_site_fract_x
_atom_site_fract_y
_atom_site_fract_z
_atom_site_occupancy
K1 0.000 0.000 0.000 1
Np1 0.500 0.500 0.176 1
Hg1 0.000 0.000 0.500 1
O1 0.000 0.500 0.163 1
O2 0.500 0.500 0.000 1
O3 0.500 0.500 0.328 1
```

Largest 12 diffraction maxima, most intense first, 2θ = 5–70°:
- hkl 1 0 2, 25.73 deg, I = 100
- hkl 1 0 1, 22.26 deg, I = 69
- hkl 1 1 0, 29.85 deg, I = 60
- hkl 0 0 3, 22.15 deg, I = 52
- hkl 2 0 3, 48.65 deg, I = 46
- hkl 1 1 3, 37.48 deg, I = 35
- hkl 2 1 2, 50.54 deg, I = 32
- hkl 2 0 0, 42.72 deg, I = 32
- hkl 1 0 5, 43.23 deg, I = 23
- hkl 1 0 0, 20.98 deg, I = 22
- hkl 1 1 6, 55.10 deg, I = 20
- hkl 1 0 4, 36.63 deg, I = 20



Entry 6:
Structure and simulated powder diffractogram of Cs2V3Br8 (a GGA-PBE-relaxed structure; copper Kα).
Peak positions follow from Bragg's law for the DFT cell and can differ from measured ones.

Structure:
```
data_Cs2V3Br8
_chemical_formula_sum 'Cs4 V6 Br16'
_space_group_name_H-M_alt 'C 1 2/m 1'
_space_group_IT_number 12
_cell_length_a 17.213
_cell_length_b 7.994
_cell_length_c 6.940
_cell_angle_alpha 90.00
_cell_angle_beta 106.48
_cell_angle_gamma 90.00
loop_
_space_group_symop_operation_xyz
'x,y,z'
'-x,-y,-z'
'-x,y,-z'
'x,-y,z'
'x+1/2,y+1/2,z'
'-x+1/2,-y+1/2,-z'
'-x+1/2,y+1/2,-z'
'x+1/2,-y+1/2,z'
loop_
_atom_site_label
_atom_site_fract_x
_atom_site_fract_y
_atom_site_fract_z
_atom_site_occupancy
Cs1 0.239 0.000 0.178 1
V1 0.000 0.248 0.500 1
V2 0.000 0.500 0.000 1
Br1 0.085 0.268 0.883 1
Br2 0.085 0.500 0.390 1
Br3 0.093 0.000 0.447 1
```

Largest 12 diffraction maxima, most intense first, 2θ = 5–70°:
- hkl 4 2 -1, 31.41 deg, I = 100
- hkl 2 2 -3, 45.29 deg, I = 61
- hkl 2 0 2, 31.72 deg, I = 58
- hkl 2 2 1, 29.65 deg, I = 55
- hkl 1 1 1, 19.25 deg, I = 50
- hkl 4 0 -2, 29.32 deg, I = 45
- hkl 2 0 0, 10.72 deg, I = 41
- hkl 3 1 -1, 20.98 deg, I = 39
- hkl 6 0 0, 32.55 deg, I = 37
- hkl 2 4 2, 56.45 deg, I = 34
- hkl 6 2 -1, 38.87 deg, I = 33
- hkl 2 2 0, 24.75 deg, I = 29



Entry 7:
Structure and simulated powder diffractogram of Zn2Co2Sn (a GGA-PBE-relaxed structure; copper Kα).
Peak positions follow from Bragg's law for the DFT cell and can differ from measured ones.

Structure:
```
data_Zn2Co2Sn
_chemical_formula_sum 'Zn4 Co4 Sn2'
_space_group_name_H-M_alt 'I 4/m m m'
_space_group_IT_number 139
_space_group_name_Hall '-I 4 2'
_cell_length_a 3.446
_cell_length_b 3.446
_cell_length_c 12.609
_cell_angle_alpha 90.00
_cell_angle_beta 90.00
_cell_angle_gamma 90.00
loop_
_atom_site_label
_atom_site_fract_x
_atom_site_fract_y
_atom_site_fract_z
_atom_site_occupancy
Zn1 0.000 0.500 0.250 1
Co1 0.000 0.000 0.098 1
Sn1 0.000 0.000 0.500 1
```

Largest 12 diffraction maxima, most intense first, 2θ = 5–70°:
- hkl 1 1 2, 39.65 deg, I = 100
- hkl 1 0 5, 44.52 deg, I = 46
- hkl 1 0 3, 33.63 deg, I = 40
- hkl 2 0 0, 53.16 deg, I = 33
- hkl 0 0 4, 28.31 deg, I = 18
- hkl 2 1 3, 64.39 deg, I = 12
- hkl 1 0 7, 57.75 deg, I = 11
- hkl 1 1 6, 57.95 deg, I = 9
- hkl 2 0 4, 61.31 deg, I = 9
- hkl 1 1 4, 47.14 deg, I = 8
- hkl 0 0 8, 58.56 deg, I = 7
- hkl 1 1 0, 36.89 deg, I = 7



Entry 8:
Structure and simulated powder diffractogram of TaAsRu4 (a GGA-PBE-relaxed structure; copper Kα).
Peak positions follow from Bragg's law for the DFT cell and can differ from measured ones.

Structure:
```
data_TaAsRu4
_chemical_formula_sum 'Ta4 As4 Ru16'
_space_group_name_H-M_alt 'F -4 3 m'
_space_group_IT_number 216
_space_group_name_Hall 'F -4 2 3'
_cell_length_a 7.239
_cell_length_b 7.239
_cell_length_c 7.239
_cell_angle_alpha 90.00
_cell_angle_beta 90.00
_cell_angle_gamma 90.00
loop_
_atom_site_label
_atom_site_fract_x
_atom_site_fract_y
_atom_site_fract_z
_atom_site_occupancy
Ta1 0.000 0.000 0.000 1
As1 0.250 0.250 0.750 1
Ru1 0.125 0.125 0.375 1
```

Largest 10 diffraction maxima, most intense first, 2θ = 5–70°:
- hkl 3 1 1, 41.37 deg, I = 100
- hkl 2 2 2, 43.30 deg, I = 34
- hkl 2 2 0, 35.06 deg, I = 33
- hkl 5 1 1, 67.20 deg, I = 31
- hkl 4 2 2, 62.90 deg, I = 12
- hkl 1 1 1, 21.26 deg, I = 7
- hkl 2 0 0, 24.60 deg, I = 6
- hkl 4 2 0, 56.88 deg, I = 3
- hkl 4 0 0, 50.43 deg, I = 2
- hkl 3 3 1, 55.32 deg, I = 2



Entry 9:
Structure and simulated powder diffractogram of CeSm4Ho3 (a GGA-PBE-relaxed structure; copper Kα).
Peak positions follow from Bragg's law for the DFT cell and can differ from measured ones.

Structure:
```
data_CeSm4Ho3
_chemical_formula_sum 'Ce2 Sm8 Ho6'
_space_group_name_H-M_alt 'C 1 2/m 1'
_space_group_IT_number 12
_cell_length_a 23.467
_cell_length_b 3.433
_cell_length_c 6.816
_cell_angle_alpha 90.00
_cell_angle_beta 106.78
_cell_angle_gamma 90.00
loop_
_space_group_symop_operation_xyz
'x,y,z'
'-x,-y,-z'
'-x,y,-z'
'x,-y,z'
'x+1/2,y+1/2,z'
'-x+1/2,-y+1/2,-z'
'-x+1/2,y+1/2,-z'
'x+1/2,-y+1/2,z'
loop_
_atom_site_label
_atom_site_fract_x
_atom_site_fract_y
_atom_site_fract_z
_atom_site_occupancy
Ce1 0.000 0.000 0.000 1
Sm1 0.123 0.500 0.365 1
Sm2 0.241 0.000 0.237 1
Ho1 0.000 0.500 0.500 1
Ho2 0.123 0.500 0.882 1
```

Largest 12 diffraction maxima, most intense first, 2θ = 5–70°:
- hkl 6 0 -2, 30.68 deg, I = 100
- hkl 8 0 0, 31.86 deg, I = 44
- hkl 5 1 -1, 33.29 deg, I = 43
- hkl 6 2 -2, 62.84 deg, I = 26
- hkl 1 1 -1, 29.13 deg, I = 25
- hkl 1 1 0, 26.26 deg, I = 21
- hkl 1 1 2, 39.14 deg, I = 17
- hkl 14 0 -2, 56.04 deg, I = 17
- hkl 5 1 0, 32.83 deg, I = 16
- hkl 1 1 -2, 37.40 deg, I = 15
- hkl 9 1 -1, 43.71 deg, I = 15
- hkl 8 2 0, 63.52 deg, I = 12



Entry 10:
Structure and simulated powder diffractogram of Ac12TbGe7 (a GGA-PBE-relaxed structure; copper Kα).
Peak positions follow from Bragg's law for the DFT cell and can differ from measured ones.

Structure:
```
data_Ac12TbGe7
_chemical_formula_sum 'Ac36 Tb3 Ge21'
_space_group_name_H-M_alt 'R -3'
_space_group_IT_number 148
_space_group_name_Hall '-R 3'
_cell_length_a 15.9686
_cell_length_b 15.9686
_cell_length_c 10.8453
_cell_angle_alpha 90.00
_cell_angle_beta 90.00
_cell_angle_gamma 120.00
loop_
_atom_site_label
_atom_site_fract_x
_atom_site_fract_y
_atom_site_fract_z
_atom_site_occupancy
Ac1 0.0263 0.4376 0.1634 1
Ac2 0.0488 0.8710 0.8293 1
Tb1 0.0000 0.0000 0.5000 1
Ge1 0.0000 0.0000 0.0000 1
Ge2 0.0492 0.8724 0.3381 1
```

Largest 12 diffraction maxima, most intense first, 2θ = 5–70°:
- hkl 4 -1 2, 28.50 deg, I = 100
- hkl 1 3 1, 24.62 deg, I = 89
- hkl 5 2 0, 40.75 deg, I = 78
- hkl 8 -2 1, 48.19 deg, I = 46
- hkl 9 1 2, 66.80 deg, I = 37
- hkl 2 6 2, 50.48 deg, I = 28
- hkl 6 5 1, 64.90 deg, I = 19
- hkl 8 -2 4, 58.99 deg, I = 13
- hkl 0 2 1, 15.20 deg, I = 3
- hkl 1 1 0, 11.08 deg, I = 2
- hkl 2 -1 3, 27.08 deg, I = 1
- hkl 2 1 1, 18.85 deg, I = 1



Entry 11:
Structure and simulated powder diffractogram of Pr3Bi4Rh8 (a GGA-PBE-relaxed structure; copper Kα).
Peak positions follow from Bragg's law for the DFT cell and can differ from measured ones.

Structure:
```
data_Pr3Bi4Rh8
_chemical_formula_sum 'Pr24 Bi32 Rh64'
_space_group_name_H-M_alt 'F m -3 m'
_space_group_IT_number 225
_space_group_name_Hall '-F 4 2 3'
_cell_length_a 13.476
_cell_length_b 13.476
_cell_length_c 13.476
_cell_angle_alpha 90.00
_cell_angle_beta 90.00
_cell_angle_gamma 90.00
loop_
_atom_site_label
_atom_site_fract_x
_atom_site_fract_y
_atom_site_fract_z
_atom_site_occupancy
Pr1 0.000 0.000 0.231 1
Bi1 0.000 0.000 0.000 1
Bi2 0.000 0.000 0.500 1
Bi3 0.000 0.250 0.250 1
Rh1 0.123 0.123 0.377 1
Rh2 0.169 0.169 0.169 1
```

Largest 12 diffraction maxima, most intense first, 2θ = 5–70°:
- hkl 4 4 0, 37.76 deg, I = 100
- hkl 8 4 4, 68.18 deg, I = 28
- hkl 4 0 0, 26.46 deg, I = 16
- hkl 3 3 3, 34.59 deg, I = 15
- hkl 6 2 2, 44.60 deg, I = 14
- hkl 8 4 0, 61.55 deg, I = 13
- hkl 8 0 0, 54.47 deg, I = 11
- hkl 2 2 2, 22.86 deg, I = 9
- hkl 4 4 4, 46.70 deg, I = 7
- hkl 4 2 0, 29.65 deg, I = 6
- hkl 5 3 1, 39.56 deg, I = 6
- hkl 5 3 3, 44.07 deg, I = 6



Entry 12:
Structure and simulated powder diffractogram of Sc2Ga5Pd3 (a GGA-PBE-relaxed structure; copper Kα).
Peak positions follow from Bragg's law for the DFT cell and can differ from measured ones.

Structure:
```
data_Sc2Ga5Pd3
_chemical_formula_sum 'Sc8 Ga20 Pd12'
_space_group_name_H-M_alt 'C m c 21'
_space_group_IT_number 36
_cell_length_a 4.292
_cell_length_b 24.615
_cell_length_c 6.500
_cell_angle_alpha 90.00
_cell_angle_beta 90.00
_cell_angle_gamma 90.00
loop_
_space_group_symop_operation_xyz
'x,y,z'
'-x,-y,z+1/2'
'-x,y,z'
'x,-y,z+1/2'
'x+1/2,y+1/2,z'
'-x+1/2,-y+1/2,z+1/2'
'-x+1/2,y+1/2,z'
'x+1/2,-y+1/2,z+1/2'
loop_
_atom_site_label
_atom_site_fract_x
_atom_site_fract_y
_atom_site_fract_z
_atom_site_occupancy
Sc1 0.000 0.014 0.000 1
Sc2 0.000 0.326 0.013 1
Ga1 0.000 0.104 0.328 1
Ga2 0.000 0.205 0.809 1
Ga3 0.000 0.208 0.229 1
Ga4 0.000 0.378 0.487 1
Ga5 0.000 0.452 0.185 1
Pd1 0.000 0.104 0.728 1
Pd2 0.000 0.276 0.522 1
Pd3 0.000 0.448 0.785 1
```

Largest 12 diffraction maxima, most intense first, 2θ = 5–70°:
- hkl 1 3 2, 36.36 deg, I = 100
- hkl 1 9 2, 48.38 deg, I = 65
- hkl 2 0 0, 42.11 deg, I = 58
- hkl 1 7 1, 35.79 deg, I = 47
- hkl 1 9 0, 39.08 deg, I = 42
- hkl 1 11 0, 45.73 deg, I = 23
- hkl 1 13 3, 69.47 deg, I = 17
- hkl 1 1 1, 25.13 deg, I = 15
- hkl 0 4 1, 19.87 deg, I = 15
- hkl 0 6 0, 21.66 deg, I = 15
- hkl 0 0 4, 56.62 deg, I = 13
- hkl 0 4 3, 44.32 deg, I = 12